[1]
This entry pairs a crystal structure of BaYCo4O7 with its simulated powder diffraction line list. Radiation: Cu Kα X-rays. Structure: a structure optimized by DFT (GGA+U).
Neutral-atom scattering factors, no anomalous dispersion.

Peak list (10 most intense, 2θ = 15–90°, sorted by position)
index, two_theta, intensity
2 0 0, 27.94, 46
1 1 -3, 30.30, 51
1 1 3, 30.38, 25
2 0 2, 32.90, 100
2 2 -1, 33.49, 56
0 4 1, 33.60, 29
0 0 4, 34.33, 22
3 3 2, 52.72, 20
2 2 5, 55.16, 30
2 6 0, 57.82, 27

Crystal structure
Lattice parameters (Å, degrees): 6.3996 11.0361 10.4494 90.00 90.30 90.00
Space group Cc (No. 9)
Symmetry-distinct sites (fractional):
1 Ba 0.0000 0.1644 0.0000 (multiplicity 4)
2 Y 0.0024 0.1653 0.3920 (multiplicity 4)
3 Co 0.0027 0.4944 0.9569 (multiplicity 4)
4 Co 0.2508 0.0877 0.7015 (multiplicity 4)
5 Co 0.2632 0.4223 0.2016 (multiplicity 4)
6 Co 0.4923 0.1708 0.2019 (multiplicity 4)
7 O 0.0027 0.4964 0.7624 (multiplicity 4)
8 O 0.0137 0.0023 0.7740 (multiplicity 4)
9 O 0.2274 0.2544 0.7760 (multiplicity 4)
10 O 0.2611 0.2554 0.2718 (multiplicity 4)
11 O 0.2755 0.1087 0.5173 (multiplicity 4)
12 O 0.2760 0.4389 0.0162 (multiplicity 4)
13 O 0.4610 0.1627 0.0237 (multiplicity 4)

[2]
This entry pairs a crystal structure of Mn4P3O12 with its simulated powder diffraction line list. Radiation: Cu Kα X-rays. Structure: a structure optimized by DFT (GGA+U).
Neutral-atom scattering factors, no anomalous dispersion.

Peak list (10 most intense, 2θ = 15–90°, sorted by position)
index, two_theta, intensity
3 1 0, 25.45, 72
1 1 -2, 28.88, 40
3 1 -2, 30.65, 32
2 2 -2, 30.94, 23
2 4 0, 31.64, 100
4 0 0, 32.91, 25
1 3 -2, 34.78, 31
1 5 -1, 36.68, 20
3 1 -3, 42.77, 19
2 0 -4, 57.99, 24

Crystal structure
Lattice parameters (Å, degrees): 12.0799 13.2377 6.4657 90.00 115.69 90.00
Space group Cc (No. 9)
Symmetry-distinct sites (fractional):
1 Mn 0.0000 0.0045 0.0000 (multiplicity 4)
2 Mn 0.1844 0.3541 0.6566 (multiplicity 4)
3 Mn 0.2744 0.1488 0.4339 (multiplicity 4)
4 Mn 0.4755 0.2635 0.2856 (multiplicity 4)
5 P 0.2154 0.3925 0.1778 (multiplicity 4)
6 P 0.2462 0.1047 0.9147 (multiplicity 4)
7 P 0.4781 0.3024 0.7937 (multiplicity 4)
8 O 0.0254 0.2646 0.5115 (multiplicity 4)
9 O 0.0750 0.1195 0.2871 (multiplicity 4)
10 O 0.1022 0.0919 0.8403 (multiplicity 4)
11 O 0.1521 0.3346 0.9429 (multiplicity 4)
12 O 0.1573 0.4957 0.1640 (multiplicity 4)
13 O 0.1967 0.3235 0.3569 (multiplicity 4)
14 O 0.2625 0.1730 0.7348 (multiplicity 4)
15 O 0.3041 0.0015 0.9311 (multiplicity 4)
16 O 0.3062 0.1639 0.1463 (multiplicity 4)
17 O 0.3574 0.4016 0.2483 (multiplicity 4)
18 O 0.3801 0.3743 0.8108 (multiplicity 4)
19 O 0.4369 0.2366 0.5769 (multiplicity 4)

[3]
This entry pairs a crystal structure of NaLi5Fe2P2C2O14 with its simulated powder diffraction line list. Radiation: Cu Kα X-rays. Structure: a structure optimized by DFT (GGA+U).
Neutral-atom scattering factors, no anomalous dispersion.

Peak list (10 most intense, 2θ = 15–90°, sorted by position)
index, two_theta, intensity
0 1 2, 19.54, 36
0 1 -2, 20.97, 50
1 -1 2, 25.10, 21
0 2 2, 26.12, 33
2 0 0, 27.43, 100
0 3 0, 31.45, 25
0 3 2, 34.85, 17
0 0 4, 35.16, 26
0 1 4, 35.91, 26
4 0 0, 56.61, 23

Crystal structure
Lattice parameters (Å, degrees): 6.5036 8.5646 10.2435 85.42 89.72 89.37
Space group P1 (No. 1)
Symmetry-distinct sites (fractional):
1 Na 0.0000 0.0000 0.0000 (multiplicity 1)
2 Na 0.2537 0.6541 0.4953 (multiplicity 1)
3 Li 0.0189 0.4667 0.2418 (multiplicity 1)
4 Li 0.0344 0.4556 0.7548 (multiplicity 1)
5 Li 0.2831 0.6573 0.9954 (multiplicity 1)
6 Li 0.4789 0.4592 0.7535 (multiplicity 1)
7 Li 0.4786 0.4597 0.2467 (multiplicity 1)
8 Li 0.5264 0.0174 0.0022 (multiplicity 1)
9 Li 0.5330 0.0249 0.4976 (multiplicity 1)
10 Li 0.7381 0.8446 0.2648 (multiplicity 1)
11 Li 0.7435 0.8330 0.7563 (multiplicity 1)
12 Li 0.9763 0.0231 0.4998 (multiplicity 1)
13 Fe 0.2562 0.0791 0.2654 (multiplicity 1)
14 Fe 0.2653 0.0747 0.7641 (multiplicity 1)
15 Fe 0.7500 0.4077 0.4782 (multiplicity 1)
16 Fe 0.7527 0.4066 0.9786 (multiplicity 1)
17 P 0.2512 0.3204 0.5106 (multiplicity 1)
18 P 0.2594 0.3307 0.0105 (multiplicity 1)
19 P 0.7503 0.1579 0.2320 (multiplicity 1)
20 P 0.7563 0.1541 0.7290 (multiplicity 1)
21 C 0.2561 0.7713 0.7355 (multiplicity 1)
22 C 0.2624 0.7819 0.2166 (multiplicity 1)
23 C 0.7468 0.7019 0.0316 (multiplicity 1)
24 C 0.7505 0.7081 0.5246 (multiplicity 1)
25 O 0.0625 0.4198 0.4593 (multiplicity 1)
26 O 0.0641 0.4188 0.9563 (multiplicity 1)
27 O 0.2471 0.1520 0.4656 (multiplicity 1)
28 O 0.2508 0.6228 0.7190 (multiplicity 1)
29 O 0.2511 0.8210 0.8521 (multiplicity 1)
30 O 0.2528 0.3122 0.1637 (multiplicity 1)
31 O 0.2551 0.8305 0.3327 (multiplicity 1)
32 O 0.2574 0.3099 0.6637 (multiplicity 1)
33 O 0.2569 0.6334 0.1972 (multiplicity 1)
34 O 0.2679 0.8746 0.6346 (multiplicity 1)
35 O 0.2751 0.8866 0.1172 (multiplicity 1)
36 O 0.2824 0.1687 0.9566 (multiplicity 1)
37 O 0.4377 0.4154 0.4530 (multiplicity 1)
38 O 0.4382 0.4423 0.9636 (multiplicity 1)
39 O 0.5694 0.0569 0.2926 (multiplicity 1)
40 O 0.5788 0.0462 0.7845 (multiplicity 1)
41 O 0.7297 0.8425 0.0691 (multiplicity 1)
42 O 0.7319 0.1757 0.0801 (multiplicity 1)
43 O 0.7453 0.1737 0.5760 (multiplicity 1)
44 O 0.7447 0.5949 0.6180 (multiplicity 1)
45 O 0.7471 0.6728 0.4037 (multiplicity 1)
46 O 0.7488 0.3178 0.7824 (multiplicity 1)
47 O 0.7494 0.6760 0.9085 (multiplicity 1)
48 O 0.7560 0.3216 0.2836 (multiplicity 1)
49 O 0.7594 0.8533 0.5537 (multiplicity 1)
50 O 0.7601 0.5824 0.1194 (multiplicity 1)
51 O 0.9417 0.0551 0.2745 (multiplicity 1)
52 O 0.9521 0.0582 0.7707 (multiplicity 1)

[4]
This entry pairs a crystal structure of Li7Mn5O12 with its simulated powder diffraction line list. Radiation: Cu Kα X-rays. Structure: a structure optimized by DFT (GGA+U).
Neutral-atom scattering factors, no anomalous dispersion.

Peak list (10 most intense, 2θ = 15–90°, sorted by position)
index, two_theta, intensity
0 0 3, 18.27, 100
1 1 1, 33.92, 18
0 2 -1, 36.08, 12
-1 1 1, 36.35, 11
1 1 4, 40.72, 37
-1 1 4, 44.22, 55
1 3 0, 61.15, 9
0 2 8, 61.46, 8
2 0 0, 61.87, 9
1 -1 8, 62.18, 8

Crystal structure
Lattice parameters (Å, degrees): 3.0094 5.1000 14.6024 87.59 86.90 86.42
Space group P-1 (No. 2)
Symmetry-distinct sites (fractional):
1 Li 0.0000 0.0000 0.0000 (multiplicity 1)
2 Li 0.0000 0.0000 0.5000 (multiplicity 1)
3 Li 0.0026 0.6706 0.3415 (multiplicity 2)
4 Li 0.4912 0.1547 0.3437 (multiplicity 2)
5 Li 0.5000 0.5000 0.0000 (multiplicity 1)
6 Mn 0.0041 0.3344 0.1673 (multiplicity 2)
7 Mn 0.4966 0.1658 0.8324 (multiplicity 2)
8 Mn 0.5000 0.5000 0.5000 (multiplicity 1)
9 O 0.0285 0.0100 0.2435 (multiplicity 2)
10 O 0.0294 0.3418 0.9111 (multiplicity 2)
11 O 0.0308 0.3561 0.4278 (multiplicity 2)
12 O 0.4745 0.1582 0.0893 (multiplicity 2)
13 O 0.4753 0.4944 0.7585 (multiplicity 2)
14 O 0.4929 0.8085 0.4211 (multiplicity 2)

[5]
This entry pairs a crystal structure of CrO2 with its simulated powder diffraction line list. Radiation: Cu Kα X-rays. Structure: a structure optimized by DFT (GGA+U).
Neutral-atom scattering factors, no anomalous dispersion.

Peak list (10 most intense, 2θ = 15–90°, sorted by position)
index, two_theta, intensity
2 0 -2, 17.95, 100
2 0 1, 28.50, 29
4 0 -3, 28.62, 29
1 1 -2, 36.21, 91
3 1 -3, 40.68, 21
3 1 1, 48.56, 21
5 1 -4, 48.69, 21
3 1 2, 58.93, 24
7 1 -5, 59.09, 22
9 1 -4, 68.35, 30

Crystal structure
Lattice parameters (Å, degrees): 13.9763 2.9988 9.8603 90.00 134.86 90.00
Space group C2/m (No. 12)
Symmetry-distinct sites (fractional):
1 Cr 0.1530 0.0000 0.3185 (multiplicity 4)
2 Cr 0.1645 0.5000 0.0114 (multiplicity 4)
3 O 0.0379 0.0000 0.8749 (multiplicity 4)
4 O 0.1596 0.5000 0.4542 (multiplicity 4)
5 O 0.1607 0.5000 0.1988 (multiplicity 4)
6 O 0.2069 0.5000 0.8652 (multiplicity 4)

[6]
This entry pairs a crystal structure of Li2Mn3VO8 with its simulated powder diffraction line list. Radiation: Cu Kα X-rays. Structure: a structure optimized by DFT (GGA+U).
Neutral-atom scattering factors, no anomalous dispersion.

Peak list (10 most intense, 2θ = 15–90°, sorted by position)
index, two_theta, intensity
0 0 3, 18.27, 100
0 2 1, 35.39, 46
0 0 6, 37.02, 9
0 2 4, 43.01, 56
1 0 7, 47.09, 9
0 2 7, 56.87, 20
2 2 0, 62.45, 33
2 2 3, 65.66, 14
4 0 4, 78.79, 6
4 0 7, 89.45, 6

Crystal structure
Lattice parameters (Å, degrees): 5.9517 5.9517 14.5546 90.00 90.00 120.00
Space group R-3m (No. 166, hexagonal axes)
Symmetry-distinct sites (fractional):
1 Li 0.0000 0.0000 0.1214 (multiplicity 6)
2 Mn 0.0000 0.5000 0.0000 (multiplicity 9)
3 V 0.0000 0.0000 0.5000 (multiplicity 3)
4 O 0.0000 0.0000 0.2605 (multiplicity 6)
5 O 0.0334 0.5167 0.2587 (multiplicity 18)

[7]
This entry pairs a crystal structure of NaCoO2 with its simulated powder diffraction line list. Radiation: Cu Kα X-rays. Structure: a structure optimized by DFT (GGA+U).
Neutral-atom scattering factors, no anomalous dispersion.

Peak list (10 most intense, 2θ = 15–90°, sorted by position)
index, two_theta, intensity
0 0 2, 16.79, 86
0 0 4, 33.96, 22
1 0 0, 35.58, 16
1 0 2, 39.58, 100
1 0 3, 44.16, 35
1 0 4, 50.00, 38
1 1 0, 63.90, 30
1 0 6, 64.56, 34
1 1 4, 74.37, 13
2 0 2, 77.84, 12

Crystal structure
Lattice parameters (Å, degrees): 2.9137 2.9137 10.5598 90.00 90.00 120.00
Space group P6_3/mmc (No. 194)
Symmetry-distinct sites (fractional):
1 Na 0.3333 0.6667 0.2500 (multiplicity 2)
2 Co 0.0000 0.0000 0.0000 (multiplicity 2)
3 O 0.3333 0.6667 0.5946 (multiplicity 4)

[8]
This entry pairs a crystal structure of BaCaFe4O8 with its simulated powder diffraction line list. Radiation: Cu Kα X-rays. Structure: a structure optimized by DFT (GGA+U).
Neutral-atom scattering factors, no anomalous dispersion.

Peak list (10 most intense, 2θ = 15–90°, sorted by position)
index, two_theta, intensity
1 0 2, 29.47, 100
1 1 0, 32.44, 80
2 -1 1, 34.45, 27
2 0 2, 44.39, 32
0 0 4, 46.34, 13
2 1 2, 56.05, 31
2 -1 4, 57.70, 34
3 0 0, 57.86, 25
4 -1 2, 75.73, 12
3 0 4, 77.16, 15

Crystal structure
Lattice parameters (Å, degrees): 5.5202 5.5202 7.8372 90.00 90.00 120.00
Space group P-31m (No. 162)
Symmetry-distinct sites (fractional):
1 Ba 0.0000 0.0000 0.0000 (multiplicity 1)
2 Ca 0.0000 0.0000 0.5000 (multiplicity 1)
3 Fe 0.3333 0.6667 0.2405 (multiplicity 4)
4 O 0.0000 0.3306 0.3043 (multiplicity 6)
5 O 0.3333 0.6667 0.0000 (multiplicity 2)

[9]
This entry pairs a crystal structure of TiMn2O4 with its simulated powder diffraction line list. Radiation: Cu Kα X-rays. Structure: a structure optimized by DFT (GGA+U).
Neutral-atom scattering factors, no anomalous dispersion.

Peak list (10 most intense, 2θ = 15–90°, sorted by position)
index, two_theta, intensity
1 0 1, 17.50, 14
2 0 0, 28.64, 16
1 1 2, 28.82, 32
2 1 1, 33.76, 100
1 0 3, 34.07, 52
2 2 0, 40.95, 20
3 2 1, 54.09, 33
1 0 5, 54.71, 15
4 0 0, 59.31, 23
2 2 4, 59.70, 46

Crystal structure
Lattice parameters (Å, degrees): 6.2329 6.2329 8.7094 90.00 90.00 90.00
Space group P4_322 (No. 95)
Symmetry-distinct sites (fractional):
1 Ti 0.0000 0.2554 0.0000 (multiplicity 4)
2 Mn 0.2446 0.5000 0.2500 (multiplicity 4)
3 Mn 0.2481 0.2481 0.6250 (multiplicity 4)
4 O 0.0139 0.2294 0.2278 (multiplicity 8)
5 O 0.2282 0.4636 0.9963 (multiplicity 8)

What did the seventh record say?
This entry pairs a crystal structure of NaCoO2 with its simulated powder diffraction line list. Radiation: Cu Kα X-rays. Structure: a structure optimized by DFT (GGA+U).
Neutral-atom scattering factors, no anomalous dispersion.

Peak list (10 most intense, 2θ = 15–90°, sorted by position)
index, two_theta, intensity
0 0 2, 16.79, 86
0 0 4, 33.96, 22
1 0 0, 35.58, 16
1 0 2, 39.58, 100
1 0 3, 44.16, 35
1 0 4, 50.00, 38
1 1 0, 63.90, 30
1 0 6, 64.56, 34
1 1 4, 74.37, 13
2 0 2, 77.84, 12

Crystal structure
Lattice parameters (Å, degrees): 2.9137 2.9137 10.5598 90.00 90.00 120.00
Space group P6_3/mmc (No. 194)
Symmetry-distinct sites (fractional):
1 Na 0.3333 0.6667 0.2500 (multiplicity 2)
2 Co 0.0000 0.0000 0.0000 (multiplicity 2)
3 O 0.3333 0.6667 0.5946 (multiplicity 4)